For LiFe3O3F4, the PBE+U geometry in the Materials Project gives the simulated powder diffraction line list in this record (Cu Kα).
Intensities are scaled so that the largest is 100.

Principal peaks in the range 10 to 90 degrees two-theta, most intense first:
d (Å), I/Imax
3.223, 100
5.020, 71
2.155, 46
1.673, 37
3.129, 32
2.427, 23

Cell lengths 5.376, 5.376, 5.376 Å; angles 102.88, 102.88, 102.88 degrees
Positions (direct):
Li (0.000, 0.000, 0.000)
Fe (0.170, 0.550, 0.550)
Fe (0.550, 0.170, 0.550)
Fe (0.550, 0.550, 0.170)
O (0.399, 0.399, 0.782)
O (0.399, 0.782, 0.399)
O (0.782, 0.399, 0.399)
F (0.199, 0.835, 0.835)
F (0.267, 0.267, 0.267)
F (0.835, 0.199, 0.835)
F (0.835, 0.835, 0.199)


For LiMnF4, the PBE+U geometry in the Materials Project gives the simulated powder diffraction line list in this record (Cu Kα).
Intensities are scaled so that the largest is 100.

Principal peaks in the range 10 to 90 degrees two-theta, most intense first:
d (Å), I/Imax
4.668, 100
2.324, 68
3.423, 39
1.778, 29
1.710, 27
3.191, 27

Cell lengths 6.332, 6.382, 6.846 Å; angles 90.00, 90.00, 90.00 degrees
Positions (direct):
Li (0.242, 0.250, 0.236)
Li (0.258, 0.750, 0.736)
Li (0.742, 0.250, 0.264)
Li (0.758, 0.750, 0.764)
Mn (0.008, 0.250, 0.750)
Mn (0.492, 0.750, 0.250)
Mn (0.508, 0.250, 0.750)
Mn (0.992, 0.750, 0.250)
F (0.007, 0.541, 0.750)
F (0.007, 0.959, 0.750)
F (0.243, 0.750, 0.063)
F (0.243, 0.750, 0.443)
F (0.257, 0.250, 0.563)
F (0.257, 0.250, 0.943)
F (0.493, 0.041, 0.250)
F (0.493, 0.459, 0.250)
F (0.507, 0.541, 0.750)
F (0.507, 0.959, 0.750)
F (0.743, 0.750, 0.057)
F (0.743, 0.750, 0.437)
F (0.757, 0.250, 0.557)
F (0.757, 0.250, 0.937)
F (0.993, 0.041, 0.250)
F (0.993, 0.459, 0.250)


For La4MgNiO8, the PBE+U geometry in the Materials Project gives the simulated powder diffraction line list in this record (Cu Kα).
Intensities are scaled so that the largest is 100.

Principal peaks in the range 10 to 90 degrees two-theta, most intense first:
d (Å), I/Imax
4.370, 100
2.828, 95
3.615, 94
3.081, 83
1.900, 63
2.674, 59

Cell lengths 8.749, 8.749, 5.132 Å; angles 90.00, 90.00, 144.41 degrees
Positions (direct):
La (0.097, 0.903, 0.000)
La (0.323, 0.677, 0.500)
La (0.677, 0.323, 0.500)
La (0.903, 0.097, 0.000)
Mg (0.500, 0.500, 0.500)
Ni (0.500, 0.500, 0.000)
O (0.192, 0.808, 0.500)
O (0.233, 0.233, 0.248)
O (0.233, 0.233, 0.752)
O (0.346, 0.654, 0.000)
O (0.654, 0.346, 0.000)
O (0.767, 0.767, 0.248)
O (0.767, 0.767, 0.752)
O (0.808, 0.192, 0.500)